This entry pairs a crystal structure of CaAlAu with its calculated powder X-ray diffraction pattern. Radiation: Cu Kα X-rays. Structure: DFT lattice parameters and positions (PBE).

The 10 most intense peaks (2θ = 15–90°), in order of falling intensity:
d (Å), Position (°2θ), I (rel.)
3.468, 25.7, 100
3.445, 25.9, 88
2.683, 33.4, 77
2.259, 39.9, 43
3.935, 22.6, 43
2.278, 39.6, 37
1.900, 47.9, 35
3.668, 24.3, 35
2.748, 32.6, 31
1.924, 47.3, 26

Cell and atoms:
a b c (Å): 7.3351 4.5569 7.8054
angles (deg): 90.00 90.00 90.00
Space group Pnma (No. 62)
One atom of each set of equivalent atoms:
1 Ca 0.0142 0.2500 0.1828 (multiplicity 4)
2 Al 0.1548 0.2500 0.5683 (multiplicity 4)
3 Au 0.2084 0.7500 0.3876 (multiplicity 4)